For Co2BH3O5, a DFT-relaxed cell (PBE+U, OQMD) gives the calculated powder X-ray diffraction pattern in this record (Cu Kα X-rays).
Neutral-atom scattering factors, no anomalous dispersion.

Structural model:
Cell: 4.875 5.000 5.301 Å, 89.37 85.38 61.17°
Atoms (fractional coordinates):
Co 0.000 0.000 0.000
Co 0.323 0.339 0.249
B 0.660 0.657 0.113
H 0.057 0.152 0.577
H 0.297 0.480 0.700
H 0.712 0.143 0.610
O 0.378 0.288 0.603
O 0.394 0.644 0.064
O 0.658 0.929 0.133
O 0.929 0.387 0.144
O 0.961 0.024 0.631

Most intense lines, 2θ = 10–90°, low angle first:
| hkl | 2θ/deg | Rel. int. |
| --- | --- | --- |
| 0 0 1 | 16.79 | 100 |
| 0 1 0 | 20.28 | 22 |
| 1 1 0 | 20.91 | 31 |
| 1 1 1 | 26.21 | 21 |
| 0 1 1 | 26.86 | 18 |
| 1 1 -1 | 27.68 | 17 |
| 1 -1 0 | 35.84 | 27 |
| 1 2 0 | 35.95 | 24 |
| 2 1 0 | 37.00 | 26 |
| 1 1 2 | 39.23 | 25 |